# 1
Diffraction record for CsKScI6. The X-ray diffraction stick pattern is computed, not measured: it uses a crystal structure in Alexandria, relaxed with PBE and Cu Kα (λ = 1.5418 Å).
Kinematic intensities with the Lorentz-polarization factor, no thermal factor.

Cell and atoms:
Unit cell a=8.573 b=8.573 c=8.070 alpha=90.00 beta=90.00 gamma=120.00
Element x y z (fractional)
Cs: 0.000 0.000 0.000
K: 0.333 0.667 0.500
Sc: 0.667 0.333 0.500
I: 0.388 0.060 0.706
I: 0.388 0.328 0.294
I: 0.672 0.060 0.294
I: 0.672 0.612 0.706
I: 0.940 0.328 0.706
I: 0.940 0.612 0.294

The 8 most intense peaks (10 to 90 degrees two-theta), sorted by position:
- 2θ 11.92, I = 18.2
- 2θ 16.22, I = 30.0
- 2θ 23.50, I = 100.0
- 2θ 30.42, I = 52.8
- 2θ 33.82, I = 39.5
- 2θ 36.30, I = 24.2
- 2θ 39.55, I = 14.5
- 2θ 55.11, I = 13.5

=====

# 2
Diffraction record for Cs2KSn2I7. The X-ray diffraction stick pattern is computed, not measured: it uses a crystal structure in Alexandria, relaxed with PBE and Cu Kα (λ = 1.5418 Å).
Kinematic intensities with the Lorentz-polarization factor, no thermal factor.

Cell and atoms:
Unit cell a=6.253 b=6.253 c=16.410 alpha=100.89 beta=100.89 gamma=90.01
Element x y z (fractional)
Cs: 0.182 0.182 0.357
Cs: 0.818 0.818 0.643
K: 0.000 0.000 0.000
Sn: 0.398 0.398 0.799
Sn: 0.602 0.602 0.201
I: 0.096 0.599 0.190
I: 0.302 0.302 0.601
I: 0.401 0.904 0.810
I: 0.500 0.500 0.000
I: 0.599 0.096 0.190
I: 0.698 0.698 0.399
I: 0.904 0.401 0.810

The 8 most intense peaks (10 to 90 degrees two-theta), sorted by position:
- 2θ 11.19, I = 30.9
- 2θ 14.44, I = 29.4
- 2θ 26.31, I = 68.7
- 2θ 28.22, I = 36.3
- 2θ 28.55, I = 100.0
- 2θ 29.15, I = 29.4
- 2θ 40.57, I = 54.0
- 2θ 40.82, I = 37.7

=====

# 3
Diffraction record for Cs3LaI6. The X-ray diffraction stick pattern is computed, not measured: it uses a crystal structure in Alexandria, relaxed with PBE and Cu Kα (λ = 1.5418 Å).
Kinematic intensities with the Lorentz-polarization factor, no thermal factor.

Cell and atoms:
Unit cell a=9.607 b=9.607 c=9.607 alpha=60.00 beta=60.00 gamma=60.00
Element x y z (fractional)
Cs: 0.000 0.000 0.000
Cs: 0.250 0.250 0.250
Cs: 0.750 0.750 0.750
La: 0.500 0.500 0.500
I: 0.268 0.268 0.732
I: 0.268 0.732 0.268
I: 0.268 0.732 0.732
I: 0.732 0.268 0.268
I: 0.732 0.268 0.732
I: 0.732 0.732 0.268

The 8 most intense peaks (10 to 90 degrees two-theta), sorted by position:
- 2θ 13.03, I = 22.9
- 2θ 18.47, I = 24.4
- 2θ 22.67, I = 64.7
- 2θ 26.24, I = 100.0
- 2θ 37.45, I = 74.2
- 2θ 44.22, I = 28.0
- 2θ 46.30, I = 25.8
- 2θ 61.00, I = 31.3

=====

# 4
Diffraction record for Cs3LaI6. The X-ray diffraction stick pattern is computed, not measured: it uses a crystal structure in Alexandria, relaxed with PBE and Cu Kα (λ = 1.5418 Å).
Kinematic intensities with the Lorentz-polarization factor, no thermal factor.

Cell and atoms:
Unit cell a=10.830 b=10.830 c=8.982 alpha=90.00 beta=90.00 gamma=90.00
Element x y z (fractional)
Cs: 0.000 0.000 0.000
Cs: 0.000 0.000 0.500
Cs: 0.232 0.581 0.000
Cs: 0.419 0.232 0.500
Cs: 0.581 0.768 0.500
Cs: 0.768 0.419 0.000
La: 0.000 0.500 0.500
La: 0.500 0.000 0.000
I: 0.056 0.300 0.250
I: 0.056 0.300 0.750
I: 0.285 0.566 0.500
I: 0.300 0.944 0.250
I: 0.300 0.944 0.750
I: 0.434 0.285 0.000
I: 0.566 0.715 0.000
I: 0.700 0.056 0.250
I: 0.700 0.056 0.750
I: 0.715 0.434 0.500
I: 0.944 0.700 0.250
I: 0.944 0.700 0.750

The 8 most intense peaks (10 to 90 degrees two-theta), sorted by position:
- 2θ 21.42, I = 13.1
- 2θ 24.66, I = 12.4
- 2θ 26.02, I = 42.0
- 2θ 27.08, I = 100.0
- 2θ 40.16, I = 14.1
- 2θ 42.41, I = 17.6
- 2θ 46.55, I = 19.3
- 2θ 48.48, I = 15.0

=====

# 5
Diffraction record for Cs5La2I12. The X-ray diffraction stick pattern is computed, not measured: it uses a crystal structure in Alexandria, relaxed with PBE and Cu Kα (λ = 1.5418 Å).
Kinematic intensities with the Lorentz-polarization factor, no thermal factor.

Cell and atoms:
Unit cell a=11.114 b=11.114 c=13.544 alpha=127.53 beta=127.53 gamma=60.93
Element x y z (fractional)
Cs: 0.000 0.000 0.000
Cs: 0.251 0.251 0.502
Cs: 0.252 0.252 0.000
Cs: 0.748 0.748 0.000
Cs: 0.749 0.749 0.498
La: 0.250 0.750 0.500
La: 0.750 0.250 0.500
I: 0.080 0.448 0.264
I: 0.140 0.140 0.639
I: 0.184 0.816 0.264
I: 0.184 0.816 0.736
I: 0.448 0.080 0.264
I: 0.500 0.500 0.360
I: 0.500 0.500 0.640
I: 0.552 0.920 0.736
I: 0.816 0.184 0.264
I: 0.816 0.184 0.736
I: 0.860 0.860 0.361
I: 0.920 0.552 0.736

The 8 most intense peaks (10 to 90 degrees two-theta), sorted by position:
- 2θ 10.21, I = 22.9
- 2θ 24.39, I = 60.0
- 2θ 26.31, I = 100.0
- 2θ 27.94, I = 75.4
- 2θ 28.29, I = 43.3
- 2θ 30.96, I = 30.9
- 2θ 33.58, I = 49.4
- 2θ 45.29, I = 28.9

=====

# 6
Diffraction record for Cs3Li2LaI8. The X-ray diffraction stick pattern is computed, not measured: it uses a crystal structure in Alexandria, relaxed with PBE and Cu Kα (λ = 1.5418 Å).
Kinematic intensities with the Lorentz-polarization factor, no thermal factor.

Cell and atoms:
Unit cell a=8.648 b=8.648 c=10.949 alpha=90.00 beta=90.00 gamma=120.00
Element x y z (fractional)
Cs: 0.000 0.000 0.000
Cs: 0.333 0.667 0.631
Cs: 0.667 0.333 0.369
Li: 0.333 0.667 0.198
Li: 0.667 0.333 0.802
La: 0.000 0.000 0.500
I: 0.168 0.336 0.326
I: 0.168 0.832 0.326
I: 0.333 0.667 0.962
I: 0.336 0.168 0.674
I: 0.664 0.832 0.326
I: 0.667 0.333 0.038
I: 0.832 0.168 0.674
I: 0.832 0.664 0.674

The 8 most intense peaks (10 to 90 degrees two-theta), sorted by position:
- 2θ 20.54, I = 37.1
- 2θ 24.39, I = 35.7
- 2θ 25.13, I = 100.0
- 2θ 26.26, I = 52.0
- 2θ 28.89, I = 64.9
- 2θ 40.83, I = 38.0
- 2θ 41.78, I = 47.4
- 2θ 48.97, I = 31.5